The following is a calculated powder X-ray diffraction pattern of SrGe12Pt6. It was derived from a crystal structure in Alexandria, relaxed with GGA-PBE, using CuKα.

The 12 most intense peaks (10° ≤ 2θ ≤ 90°), low angle first:
2theta  I (rel.)
12.5  365
15.0  502
24.8  1000
27.0  252
29.3  354
38.0  674
39.5  663
41.1  356
46.2  430
48.2  366
49.3  274
53.9  238

Structural model:
```
data_SrGe12Pt6
_chemical_formula_sum 'Sr1 Ge12 Pt6'
_space_group_name_H-M_alt 'P 1'
_space_group_IT_number 1
_cell_length_a 7.564
_cell_length_b 7.564
_cell_length_c 7.564
_cell_angle_alpha 102.36
_cell_angle_beta 102.36
_cell_angle_gamma 102.36
loop_
_space_group_symop_operation_xyz
'x,y,z'
loop_
_atom_site_label
_atom_site_fract_x
_atom_site_fract_y
_atom_site_fract_z
Sr1 0.000 0.000 0.000
Ge1 0.133 0.500 0.867
Ge2 0.133 0.867 0.500
Ge3 0.155 0.472 0.472
Ge4 0.472 0.155 0.472
Ge5 0.472 0.472 0.155
Ge6 0.500 0.133 0.867
Ge7 0.500 0.867 0.133
Ge8 0.528 0.528 0.845
Ge9 0.528 0.845 0.528
Ge10 0.845 0.528 0.528
Ge11 0.867 0.133 0.500
Ge12 0.867 0.500 0.133
Pt1 0.236 0.236 0.642
Pt2 0.236 0.642 0.236
Pt3 0.358 0.764 0.764
Pt4 0.642 0.236 0.236
Pt5 0.764 0.358 0.764
Pt6 0.764 0.764 0.358
```